1.
Simulated X-ray diffraction stick pattern
Compound: Pr3Mn4Sn4
Radiation: copper Kα
Structure: the GGA-PBE geometry in Alexandria
No peak broadening, texture or thermal motion is included.

Atomic structure:
```
Pr3Mn4Sn4
1.0
-2.318 3.701 7.612
2.318 -3.701 7.612
2.318 3.701 -7.612
Pr Mn Sn
3 4 4
direct
0.000 0.000 0.000 Pr
0.372 0.872 0.500 Pr
0.628 0.128 0.500 Pr
0.013 0.327 0.687 Mn
0.360 0.673 0.687 Mn
0.640 0.327 0.313 Mn
0.987 0.673 0.313 Mn
0.216 0.216 0.000 Sn
0.300 0.500 0.800 Sn
0.700 0.500 0.200 Sn
0.784 0.784 0.000 Sn
```

Principal peaks in the range 10 to 90 degrees two-theta, sorted by position:
2θ 31.48, d 2.842, rel. 100
2θ 31.78, d 2.816, rel. 30
2θ 32.76, d 2.734, rel. 98
2θ 38.84, d 2.318, rel. 42
2θ 40.66, d 2.219, rel. 21
2θ 43.17, d 2.096, rel. 39
2θ 51.03, d 1.790, rel. 16
2θ 57.49, d 1.603, rel. 15
2θ 65.77, d 1.420, rel. 18
2θ 71.32, d 1.322, rel. 18

2.
Simulated X-ray diffraction stick pattern
Compound: BaCuO4
Radiation: copper Kα
Structure: the GGA-PBE geometry in Alexandria
No peak broadening, texture or thermal motion is included.

Atomic structure:
```
BaCuO4
1.0
4.814 0.000 0.000
0.228 6.090 0.000
0.049 1.438 6.227
Ba Cu O
2 2 8
direct
0.239 0.071 0.226 Ba
0.761 0.929 0.774 Ba
0.184 0.396 0.658 Cu
0.816 0.604 0.342 Cu
0.076 0.689 0.522 O
0.256 0.107 0.797 O
0.322 0.613 0.090 O
0.486 0.517 0.794 O
0.514 0.483 0.206 O
0.678 0.387 0.910 O
0.744 0.893 0.203 O
0.924 0.311 0.478 O
```

Principal peaks in the range 10 to 90 degrees two-theta, sorted by position:
2θ 23.38, d 3.806, rel. 69
2θ 26.40, d 3.376, rel. 74
2θ 28.67, d 3.113, rel. 55
2θ 29.22, d 3.056, rel. 100
2θ 29.93, d 2.985, rel. 33
2θ 34.31, d 2.614, rel. 28
2θ 35.10, d 2.556, rel. 58
2θ 36.34, d 2.472, rel. 43
2θ 37.39, d 2.405, rel. 34
2θ 47.74, d 1.905, rel. 61

3.
Simulated X-ray diffraction stick pattern
Compound: TbGa4Cu2Os
Radiation: copper Kα
Structure: the GGA-PBE geometry in Alexandria
No peak broadening, texture or thermal motion is included.

Atomic structure:
```
TbGa4Cu2Os
1.0
2.091 1.207 8.911
-2.091 1.207 8.911
0.000 -2.414 8.911
Tb Ga Cu Os
1 4 2 1
direct
0.000 0.000 0.000 Tb
0.131 0.131 0.131 Ga
0.400 0.400 0.400 Ga
0.600 0.600 0.600 Ga
0.869 0.869 0.869 Ga
0.235 0.235 0.235 Cu
0.765 0.765 0.765 Cu
0.500 0.500 0.500 Os
```

Principal peaks in the range 10 to 90 degrees two-theta, sorted by position:
2θ 25.48, d 3.495, rel. 38
2θ 28.02, d 3.184, rel. 22
2θ 36.59, d 2.456, rel. 100
2θ 42.01, d 2.151, rel. 22
2θ 43.27, d 2.091, rel. 95
2θ 44.92, d 2.018, rel. 23
2θ 57.92, d 1.592, rel. 26
2θ 60.75, d 1.525, rel. 12
2θ 74.98, d 1.267, rel. 24
2θ 79.38, d 1.207, rel. 15

4.
Simulated X-ray diffraction stick pattern
Compound: K2MnTe4As
Radiation: copper Kα
Structure: the GGA-PBE geometry in Alexandria
No peak broadening, texture or thermal motion is included.

Atomic structure:
```
K2MnTe4As
1.0
-4.443 4.519 6.305
4.443 -4.519 6.305
4.443 4.519 -6.305
K Mn Te As
4 2 8 2
direct
0.000 0.000 0.000 K
0.500 0.000 0.000 K
0.500 0.000 0.500 K
0.500 0.500 0.500 K
0.000 0.000 0.500 Mn
0.000 0.500 0.000 Mn
0.191 0.734 0.457 Te
0.223 0.266 0.957 Te
0.224 0.257 0.533 Te
0.224 0.691 0.967 Te
0.776 0.309 0.033 Te
0.776 0.743 0.467 Te
0.777 0.734 0.043 Te
0.809 0.266 0.543 Te
0.000 0.500 0.500 As
0.500 0.500 0.000 As
```

Principal peaks in the range 10 to 90 degrees two-theta, sorted by position:
2θ 12.05, d 7.346, rel. 25
2θ 12.18, d 7.264, rel. 20
2θ 24.23, d 3.673, rel. 17
2θ 24.51, d 3.632, rel. 19
2θ 28.16, d 3.168, rel. 100
2θ 28.31, d 3.153, rel. 47
2θ 36.72, d 2.447, rel. 21
2θ 37.00, d 2.429, rel. 20
2θ 40.36, d 2.235, rel. 61
2θ 40.61, d 2.222, rel. 17

5.
Simulated X-ray diffraction stick pattern
Compound: PrGa6Fe6
Radiation: copper Kα
Structure: the GGA-PBE geometry in Alexandria
No peak broadening, texture or thermal motion is included.

Atomic structure:
```
PrGa6Fe6
1.0
0.000 6.050 6.198
2.617 0.000 6.198
2.617 6.050 0.000
Pr Ga Fe
1 6 6
direct
0.000 0.000 0.000 Pr
0.000 0.000 0.500 Ga
0.017 0.353 0.647 Ga
0.353 0.017 0.983 Ga
0.500 0.500 0.000 Ga
0.647 0.983 0.017 Ga
0.983 0.647 0.353 Ga
0.000 0.500 0.000 Fe
0.288 0.493 0.507 Fe
0.493 0.288 0.712 Fe
0.500 0.000 0.500 Fe
0.507 0.712 0.288 Fe
0.712 0.507 0.493 Fe
```

Principal peaks in the range 10 to 90 degrees two-theta, sorted by position:
2θ 32.95, d 2.719, rel. 15
2θ 34.26, d 2.617, rel. 22
2θ 35.52, d 2.527, rel. 69
2θ 40.26, d 2.240, rel. 93
2θ 40.97, d 2.203, rel. 66
2θ 41.74, d 2.164, rel. 100
2θ 45.84, d 1.979, rel. 24
2θ 46.40, d 1.957, rel. 17
2θ 75.17, d 1.264, rel. 33
2θ 86.99, d 1.120, rel. 16

6.
Simulated X-ray diffraction stick pattern
Compound: Pr6Te3PbS2
Radiation: copper Kα
Structure: the GGA-PBE geometry in Alexandria
No peak broadening, texture or thermal motion is included.

Atomic structure:
```
Pr6Te3PbS2
1.0
9.699 -2.185 0.000
9.699 2.185 0.000
-2.295 0.000 8.609
Pr Te Pb S
6 3 1 2
direct
0.014 0.014 0.256 Pr
0.323 0.323 0.437 Pr
0.331 0.331 0.886 Pr
0.669 0.669 0.114 Pr
0.677 0.677 0.563 Pr
0.986 0.986 0.744 Pr
0.162 0.162 0.831 Te
0.500 0.500 0.500 Te
0.838 0.838 0.169 Te
0.500 0.500 0.000 Pb
0.169 0.169 0.336 S
0.831 0.831 0.664 S
```

Principal peaks in the range 10 to 90 degrees two-theta, sorted by position:
2θ 28.60, d 3.121, rel. 100
2θ 40.47, d 2.229, rel. 35
2θ 41.31, d 2.185, rel. 37
2θ 49.59, d 1.838, rel. 5
2θ 51.01, d 1.790, rel. 19
2θ 59.22, d 1.560, rel. 11
2θ 66.42, d 1.407, rel. 8
2θ 67.67, d 1.385, rel. 11
2θ 74.72, d 1.270, rel. 7
2θ 75.32, d 1.262, rel. 6

7.
Simulated X-ray diffraction stick pattern
Compound: NaLaSeBr
Radiation: copper Kα
Structure: the GGA-PBE geometry in Alexandria
No peak broadening, texture or thermal motion is included.

Atomic structure:
```
NaLaSeBr
1.0
2.130 1.230 17.514
-2.130 1.230 17.514
0.000 -2.460 17.514
Na La Se Br
2 2 2 2
direct
0.197 0.197 0.197 Na
0.803 0.803 0.803 Na
0.404 0.404 0.404 La
0.596 0.596 0.596 La
0.103 0.103 0.103 Se
0.897 0.897 0.897 Se
0.298 0.298 0.298 Br
0.702 0.702 0.702 Br
```

Principal peaks in the range 10 to 90 degrees two-theta, sorted by position:
2θ 10.10, d 8.757, rel. 89
2θ 25.07, d 3.552, rel. 28
2θ 26.93, d 3.311, rel. 13
2θ 29.59, d 3.019, rel. 100
2θ 36.64, d 2.453, rel. 13
2θ 42.23, d 2.140, rel. 33
2θ 42.44, d 2.130, rel. 38
2θ 43.74, d 2.070, rel. 15
2θ 52.58, d 1.741, rel. 19
2θ 69.78, d 1.348, rel. 16

8.
Simulated X-ray diffraction stick pattern
Compound: Ac2PmMo2N6
Radiation: copper Kα
Structure: the GGA-PBE geometry in Alexandria
No peak broadening, texture or thermal motion is included.

Atomic structure:
```
Ac2PmMo2N6
1.0
2.964 1.711 6.380
-2.964 1.711 6.380
0.000 -3.422 6.380
Ac Pm Mo N
2 1 2 6
direct
0.205 0.205 0.205 Ac
0.795 0.795 0.795 Ac
0.000 0.000 0.000 Pm
0.400 0.400 0.400 Mo
0.600 0.600 0.600 Mo
0.232 0.740 0.740 N
0.260 0.260 0.768 N
0.260 0.768 0.260 N
0.740 0.232 0.740 N
0.740 0.740 0.232 N
0.768 0.260 0.260 N
```

Principal peaks in the range 10 to 90 degrees two-theta, sorted by position:
2θ 29.10, d 3.069, rel. 100
2θ 30.15, d 2.964, rel. 89
2θ 42.40, d 2.132, rel. 40
2θ 50.92, d 1.793, rel. 22
2θ 52.91, d 1.730, rel. 42
2θ 53.55, d 1.711, rel. 18
2θ 60.32, d 1.534, rel. 11
2θ 62.69, d 1.482, rel. 14
2θ 68.91, d 1.363, rel. 18
2θ 70.58, d 1.334, rel. 18